1.
This entry pairs a crystal structure of SmAs2O2 with its calculated powder X-ray diffraction pattern. Radiation: Cu Kα X-rays. Structure: a structure optimized by DFT (GGA-PBE).
Peak positions follow from Bragg's law for the DFT cell and can differ from measured ones.

The 8 most intense peaks (10° ≤ 2θ ≤ 90°), low angle first:
10.1 deg, d 8.764, I 100, (1 0 1); 23.3 deg, d 3.823, I 12, (2 2 0); 30.4 deg, d 2.940, I 12, (3 2 1); 31.0 deg, d 2.884, I 6, (1 0 5); 35.3 deg, d 2.543, I 6, (4 0 2); 38.8 deg, d 2.321, I 8, (4 1 3); 39.1 deg, d 2.301, I 15, (4 2 2); 39.8 deg, d 2.264, I 7, (2 0 6)

Atomic structure:
a = 10.813 Å, b = 10.813 Å, c = 14.961 Å
α = 90.00°, β = 90.00°, γ = 90.00°
Space group I4_1/amd (No. 141, origin choice 2)
Symmetry-distinct sites (fractional):
Sm (0.000, 0.000, 0.000)
As (0.000, 0.115, 0.805)
O (0.000, 0.034, 0.147)

***

2.
This entry pairs a crystal structure of Sm2As2O5 with its calculated powder X-ray diffraction pattern. Radiation: Cu Kα X-rays. Structure: a structure optimized by DFT (GGA-PBE).
Peak positions follow from Bragg's law for the DFT cell and can differ from measured ones.

The 8 most intense peaks (10° ≤ 2θ ≤ 90°), low angle first:
23.4 deg, d 3.794, I 13, (1 0 0); 29.9 deg, d 2.988, I 100, (1 0 2); 33.4 deg, d 2.683, I 32, (1 1 0); 37.1 deg, d 2.425, I 12, (0 0 4); 48.0 deg, d 1.897, I 20, (2 0 0); 50.7 deg, d 1.799, I 33, (1 1 4); 57.5 deg, d 1.602, I 32, (2 1 2); 62.4 deg, d 1.487, I 12, (1 0 6)

Atomic structure:
a = 3.794 Å, b = 3.794 Å, c = 9.701 Å
α = 90.00°, β = 90.00°, γ = 90.00°
Space group P4/mmm (No. 123)
Symmetry-distinct sites (fractional):
Sm (0.000, 0.000, 0.248)
As (0.500, 0.500, 0.000)
As (0.500, 0.500, 0.500)
O (0.000, 0.000, 0.000)
O (0.000, 0.500, 0.369)

***

3.
This entry pairs a crystal structure of SmZn2AsO2 with its calculated powder X-ray diffraction pattern. Radiation: Cu Kα X-rays. Structure: a structure optimized by DFT (GGA-PBE).
Peak positions follow from Bragg's law for the DFT cell and can differ from measured ones.

The 8 most intense peaks (10° ≤ 2θ ≤ 90°), low angle first:
24.9 deg, d 3.576, I 100, (1 0 0); 28.9 deg, d 3.092, I 19, (0 0 4); 33.2 deg, d 2.700, I 17, (1 0 3); 35.5 deg, d 2.529, I 39, (1 1 0); 38.5 deg, d 2.338, I 21, (1 0 4); 51.2 deg, d 1.784, I 22, (1 0 6); 57.6 deg, d 1.599, I 18, (2 1 0); 75.2 deg, d 1.263, I 18, (2 2 0)

Atomic structure:
a = 3.576 Å, b = 3.576 Å, c = 12.353 Å
α = 90.00°, β = 90.00°, γ = 90.00°
Space group P4/mmm (No. 123)
Symmetry-distinct sites (fractional):
Sm (0.000, 0.000, 0.000)
Zn (0.000, 0.000, 0.315)
As (0.000, 0.000, 0.500)
O (0.000, 0.000, 0.174)

***

4.
This entry pairs a crystal structure of SnAs2O9 with its calculated powder X-ray diffraction pattern. Radiation: Cu Kα X-rays. Structure: a structure optimized by DFT (GGA-PBE).
Peak positions follow from Bragg's law for the DFT cell and can differ from measured ones.

The 8 most intense peaks (10° ≤ 2θ ≤ 90°), low angle first:
20.9 deg, d 4.254, I 49, (2 0 -2); 23.5 deg, d 3.786, I 100, (1 1 2); 24.0 deg, d 3.708, I 93, (2 0 -4); 26.4 deg, d 3.377, I 31, (1 0 4); 30.8 deg, d 2.906, I 57, (1 1 4); 31.4 deg, d 2.852, I 36, (0 2 0); 33.0 deg, d 2.715, I 35, (0 2 2); 37.5 deg, d 2.400, I 42, (3 1 0)

Atomic structure:
a = 8.533 Å, b = 5.704 Å, c = 19.047 Å
α = 90.00°, β = 111.52°, γ = 90.00°
Space group P2_1/c (No. 14)
Symmetry-distinct sites (fractional):
Sn (0.248, 0.241, 0.477)
As (0.080, 0.737, 0.946)
As (0.446, 0.693, 0.599)
O (0.063, 0.028, 0.402)
O (0.101, 0.187, 0.042)
O (0.151, 0.532, 0.410)
O (0.158, 0.208, 0.218)
O (0.215, 0.008, 0.233)
O (0.255, 0.638, 0.030)
O (0.405, 0.148, 0.424)
O (0.434, 0.088, 0.061)
O (0.450, 0.730, 0.684)

***

5.
This entry pairs a crystal structure of SnAsO4 with its calculated powder X-ray diffraction pattern. Radiation: Cu Kα X-rays. Structure: a structure optimized by DFT (GGA-PBE).
Peak positions follow from Bragg's law for the DFT cell and can differ from measured ones.

The 8 most intense peaks (10° ≤ 2θ ≤ 90°), low angle first:
11.3 deg, d 7.803, I 100, (0 2 0); 22.8 deg, d 3.902, I 29, (0 4 0); 27.0 deg, d 3.299, I 18, (1 1 1); 27.7 deg, d 3.220, I 60, (1 2 -1); 30.6 deg, d 2.924, I 19, (1 3 -1); 31.6 deg, d 2.832, I 69, (1 3 1); 34.9 deg, d 2.574, I 16, (0 1 2); 39.3 deg, d 2.292, I 18, (1 5 1)

Atomic structure:
a = 4.608 Å, b = 15.606 Å, c = 5.225 Å
α = 90.00°, β = 92.66°, γ = 90.00°
Space group P2_1/c (No. 14)
Symmetry-distinct sites (fractional):
Sn (0.074, 0.168, 0.421)
As (0.425, 0.649, 0.580)
O (0.174, 0.714, 0.741)
O (0.232, 0.595, 0.341)
O (0.315, 0.211, 0.078)
O (0.387, 0.094, 0.677)

***

6.
This entry pairs a crystal structure of SnAs2O7 with its calculated powder X-ray diffraction pattern. Radiation: Cu Kα X-rays. Structure: a structure optimized by DFT (GGA-PBE).
Peak positions follow from Bragg's law for the DFT cell and can differ from measured ones.

The 8 most intense peaks (10° ≤ 2θ ≤ 90°), low angle first:
16.5 deg, d 5.359, I 39, (1 1 -1); 19.0 deg, d 4.671, I 73, (0 0 2); 20.3 deg, d 4.383, I 100, (1 1 1); 21.3 deg, d 4.172, I 36, (0 2 1); 25.7 deg, d 3.461, I 49, (1 0 2); 27.5 deg, d 3.244, I 72, (1 2 -2); 28.9 deg, d 3.090, I 72, (2 1 -2); 32.2 deg, d 2.779, I 34, (1 2 2)

Atomic structure:
a = 7.279 Å, b = 9.321 Å, c = 9.747 Å
α = 90.00°, β = 106.35°, γ = 90.00°
Space group P2_1/c (No. 14)
Symmetry-distinct sites (fractional):
Sn (0.189, 0.071, 0.287)
As (0.036, 0.707, 0.967)
As (0.414, 0.750, 0.254)
O (0.004, 0.621, 0.402)
O (0.019, 0.593, 0.826)
O (0.148, 0.182, 0.457)
O (0.250, 0.665, 0.094)
O (0.371, 0.236, 0.287)
O (0.372, 0.566, 0.733)
O (0.381, 0.673, 0.396)

***

7.
This entry pairs a crystal structure of Sn3As4O16 with its calculated powder X-ray diffraction pattern. Radiation: Cu Kα X-rays. Structure: a structure optimized by DFT (GGA-PBE).
Peak positions follow from Bragg's law for the DFT cell and can differ from measured ones.

The 8 most intense peaks (10° ≤ 2θ ≤ 90°), low angle first:
12.7 deg, d 6.952, I 85, (1 0 -2); 20.3 deg, d 4.376, I 30, (1 1 -1); 23.1 deg, d 3.844, I 51, (0 0 4); 26.8 deg, d 3.327, I 100, (2 1 -1); 29.3 deg, d 3.050, I 31, (1 1 3); 32.6 deg, d 2.749, I 26, (1 1 -5); 35.4 deg, d 2.536, I 28, (0 2 0); 35.8 deg, d 2.507, I 27, (3 1 -3)

Atomic structure:
a = 8.842 Å, b = 5.073 Å, c = 16.363 Å
α = 90.00°, β = 110.02°, γ = 90.00°
Space group P2_1/c (No. 14)
Symmetry-distinct sites (fractional):
Sn (0.000, 0.000, 0.000)
Sn (0.318, 0.019, 0.629)
As (0.075, 0.045, 0.395)
As (0.428, 0.011, 0.855)
O (0.014, 0.721, 0.400)
O (0.109, 0.714, 0.095)
O (0.122, 0.130, 0.311)
O (0.186, 0.194, 0.498)
O (0.303, 0.529, 0.248)
O (0.352, 0.630, 0.424)
O (0.383, 0.102, 0.146)
O (0.485, 0.155, 0.377)

***

8.
This entry pairs a crystal structure of SnAs2O9 with its calculated powder X-ray diffraction pattern. Radiation: Cu Kα X-rays. Structure: a structure optimized by DFT (GGA-PBE).
Peak positions follow from Bragg's law for the DFT cell and can differ from measured ones.

The 8 most intense peaks (10° ≤ 2θ ≤ 90°), low angle first:
11.4 deg, d 7.756, I 84, (0 0 2); 20.2 deg, d 4.387, I 22, (1 1 0); 25.1 deg, d 3.552, I 100, (1 1 2); 25.5 deg, d 3.497, I 52, (2 0 -4); 34.7 deg, d 2.583, I 21, (0 2 0); 35.0 deg, d 2.562, I 28, (3 1 -2); 37.0 deg, d 2.427, I 22, (1 1 -6); 43.6 deg, d 2.078, I 25, (2 2 -4)

Atomic structure:
a = 8.851 Å, b = 5.164 Å, c = 16.516 Å
α = 90.00°, β = 110.08°, γ = 90.00°
Space group P2_1/c (No. 14)
Symmetry-distinct sites (fractional):
Sn (0.241, 0.239, 0.478)
As (0.004, 0.234, 0.118)
As (0.454, 0.734, 0.606)
O (0.035, 0.060, 0.399)
O (0.106, 0.103, 0.053)
O (0.140, 0.205, 0.221)
O (0.172, 0.566, 0.402)
O (0.264, 0.649, 0.745)
O (0.285, 0.583, 0.058)
O (0.380, 0.121, 0.407)
O (0.435, 0.079, 0.068)
O (0.483, 0.713, 0.716)

***

9.
This entry pairs a crystal structure of ZnSnAsO5 with its calculated powder X-ray diffraction pattern. Radiation: Cu Kα X-rays. Structure: a structure optimized by DFT (GGA-PBE).
Peak positions follow from Bragg's law for the DFT cell and can differ from measured ones.

The 8 most intense peaks (10° ≤ 2θ ≤ 90°), low angle first:
15.0 deg, d 5.902, I 52, (0 1 1); 22.1 deg, d 4.014, I 100, (0 0 2); 24.4 deg, d 3.645, I 57, (0 1 2); 29.6 deg, d 3.017, I 83, (2 1 -1); 30.7 deg, d 2.912, I 79, (2 1 1); 32.8 deg, d 2.729, I 88, (0 3 1); 33.3 deg, d 2.692, I 36, (2 2 0); 39.5 deg, d 2.282, I 43, (2 2 -2)

Atomic structure:
a = 6.863 Å, b = 8.706 Å, c = 8.040 Å
α = 90.00°, β = 93.17°, γ = 90.00°
Space group P2_1 (No. 4)
Symmetry-distinct sites (fractional):
Zn (0.222, 0.000, 0.308)
Zn (0.246, 0.119, 0.779)
Sn (0.008, 0.813, 0.747)
Sn (0.490, 0.305, 0.244)
As (0.238, 0.663, 0.129)
As (0.261, 0.460, 0.624)
O (0.041, 0.535, 0.132)
O (0.064, 0.588, 0.631)
O (0.207, 0.185, 0.162)
O (0.215, 0.937, 0.639)
O (0.222, 0.781, 0.296)
O (0.224, 0.766, 0.943)
O (0.232, 0.359, 0.436)
O (0.252, 0.337, 0.788)
O (0.458, 0.565, 0.135)
O (0.480, 0.557, 0.623)

***

Q: Number 4 is which compound?
A: SnAs2O9

***

What did the seventh record say?
This entry pairs a crystal structure of Sn3As4O16 with its calculated powder X-ray diffraction pattern. Radiation: Cu Kα X-rays. Structure: a structure optimized by DFT (GGA-PBE).
Peak positions follow from Bragg's law for the DFT cell and can differ from measured ones.

The 8 most intense peaks (10° ≤ 2θ ≤ 90°), low angle first:
12.7 deg, d 6.952, I 85, (1 0 -2); 20.3 deg, d 4.376, I 30, (1 1 -1); 23.1 deg, d 3.844, I 51, (0 0 4); 26.8 deg, d 3.327, I 100, (2 1 -1); 29.3 deg, d 3.050, I 31, (1 1 3); 32.6 deg, d 2.749, I 26, (1 1 -5); 35.4 deg, d 2.536, I 28, (0 2 0); 35.8 deg, d 2.507, I 27, (3 1 -3)

Atomic structure:
a = 8.842 Å, b = 5.073 Å, c = 16.363 Å
α = 90.00°, β = 110.02°, γ = 90.00°
Space group P2_1/c (No. 14)
Symmetry-distinct sites (fractional):
Sn (0.000, 0.000, 0.000)
Sn (0.318, 0.019, 0.629)
As (0.075, 0.045, 0.395)
As (0.428, 0.011, 0.855)
O (0.014, 0.721, 0.400)
O (0.109, 0.714, 0.095)
O (0.122, 0.130, 0.311)
O (0.186, 0.194, 0.498)
O (0.303, 0.529, 0.248)
O (0.352, 0.630, 0.424)
O (0.383, 0.102, 0.146)
O (0.485, 0.155, 0.377)